Structure and computed powder diffractogram of HfBi (DFT lattice parameters and positions (PBE); Cu Kα).
Neutral-atom scattering factors, no anomalous dispersion.

Structural model:
Cell lengths 3.8439, 10.8787, 14.3520 Å; angles 90.00, 90.00, 90.00 degrees
Space group Cmcm (No. 63)
Asymmetric unit:
Hf  0.0000  0.0694  0.1106 [8 per cell]
Hf  0.0000  0.4009  0.2500 [4 per cell]
Bi  0.0000  0.3156  0.7500 [4 per cell]
Bi  0.0000  0.3580  0.0499 [8 per cell]

Most intense lines, 10 to 80 degrees two-theta, by angle:
d_spacing, 2θ/deg, intensity
2.889, 31.0, 84
2.638, 34.0, 73
2.594, 34.6, 72
2.550, 35.2, 100
2.364, 38.1, 61
1.921, 47.3, 58

---

Structure and computed powder diffractogram of CuNiH16C8N8 (DFT lattice parameters and positions (PBE); Cu Kα).
Neutral-atom scattering factors, no anomalous dispersion.

Structural model:
Cell lengths 6.9109, 7.8218, 8.1913 Å; angles 106.53, 91.86, 107.60 degrees
Space group P-1 (No. 2)
Asymmetric unit:
Cu  0.0000  0.0000  0.0000 [1 per cell]
Ni  0.5000  0.5000  0.5000 [1 per cell]
H  0.0328  0.7369  0.1177 [2 per cell]
H  0.0737  0.0324  0.6241 [2 per cell]
H  0.0784  0.7876  0.7222 [2 per cell]
H  0.1318  0.3626  0.0608 [2 per cell]
H  0.2799  0.3613  0.7771 [2 per cell]
H  0.2900  0.9078  0.8559 [2 per cell]
H  0.3371  0.0511  0.6397 [2 per cell]
H  0.3981  0.2874  0.9286 [2 per cell]
C  0.2089  0.0603  0.7135 [2 per cell]
C  0.2574  0.2540  0.8433 [2 per cell]
C  0.3049  0.5647  0.3948 [2 per cell]
C  0.4169  0.2723  0.3281 [2 per cell]
N  0.0880  0.2517  0.9494 [2 per cell]
N  0.1580  0.9175  0.8051 [2 per cell]
N  0.1808  0.5979  0.3184 [2 per cell]
N  0.3592  0.1300  0.2139 [2 per cell]

Most intense lines, 10 to 80 degrees two-theta, by angle:
d_spacing, 2θ/deg, intensity
6.300, 14.1, 83
5.844, 15.2, 100
5.358, 16.5, 56
4.712, 18.8, 55
4.585, 19.4, 46
3.147, 28.4, 41

---

Structure and computed powder diffractogram of K2RuBr6 (DFT lattice parameters and positions (PBE); Cu Kα).
Neutral-atom scattering factors, no anomalous dispersion.

Structural model:
Cell lengths 14.9364, 10.6814, 7.4501 Å; angles 90.00, 90.00, 90.00 degrees
Space group Pnma (No. 62)
Asymmetric unit:
K  0.1447  0.0005  0.1592 [8 per cell]
Ru  0.1185  0.2500  0.6913 [4 per cell]
Br  0.0080  0.7500  0.5142 [4 per cell]
Br  0.0141  0.2500  0.9595 [4 per cell]
Br  0.1220  0.0155  0.6992 [8 per cell]
Br  0.2253  0.2500  0.4281 [4 per cell]
Br  0.2474  0.7500  0.4005 [4 per cell]

Most intense lines, 10 to 80 degrees two-theta, by angle:
d_spacing, 2θ/deg, intensity
6.116, 14.5, 76
5.274, 16.8, 41
3.059, 29.2, 100
2.993, 29.8, 32
2.670, 33.6, 52
2.637, 34.0, 46

---

Structure and computed powder diffractogram of ErTe3 (DFT lattice parameters and positions (PBE); Cu Kα).
Neutral-atom scattering factors, no anomalous dispersion.

Structural model:
Cell lengths 4.0995, 28.7160, 4.4163 Å; angles 90.00, 90.00, 90.00 degrees
Space group Cmcm (No. 63)
Asymmetric unit:
Er  0.0000  0.0536  0.2500 [4 per cell]
Te  0.0000  0.1641  0.2500 [4 per cell]
Te  0.0000  0.3128  0.2500 [4 per cell]
Te  0.0000  0.4456  0.2500 [4 per cell]

Most intense lines, 10 to 80 degrees two-theta, by angle:
d_spacing, 2θ/deg, intensity
3.589, 24.8, 76
2.988, 29.9, 100
2.868, 31.2, 54
2.424, 37.1, 96
2.208, 40.9, 31
2.050, 44.2, 26

---

Structure and computed powder diffractogram of BiRu2C6O6 (DFT lattice parameters and positions (PBE); Cu Kα).
Neutral-atom scattering factors, no anomalous dispersion.

Structural model:
Cell lengths 11.7581, 7.6858, 17.2200 Å; angles 90.00, 131.85, 90.00 degrees
Space group P2_1/c (No. 14)
Asymmetric unit:
Bi  0.0266  0.2498  0.0393 [4 per cell]
Ru  0.1375  0.0353  0.4640 [4 per cell]
Ru  0.1940  0.5640  0.1543 [4 per cell]
C  0.0405  0.0915  0.3254 [4 per cell]
C  0.2244  0.7229  0.7225 [4 per cell]
C  0.2588  0.6440  0.9740 [4 per cell]
C  0.2684  0.0751  0.7719 [4 per cell]
C  0.2919  0.2088  0.5238 [4 per cell]
C  0.3847  0.5746  0.1908 [4 per cell]
O  0.0036  0.6249  0.2568 [4 per cell]
O  0.2484  0.5962  0.7681 [4 per cell]
O  0.3167  0.1556  0.8452 [4 per cell]
O  0.3330  0.7502  0.4782 [4 per cell]
O  0.3866  0.1873  0.0580 [4 per cell]
O  0.4907  0.0876  0.2756 [4 per cell]

Most intense lines, 10 to 80 degrees two-theta, by angle:
d_spacing, 2θ/deg, intensity
8.759, 10.1, 100
8.577, 10.3, 88
6.593, 13.4, 40
6.425, 13.8, 56
5.878, 15.1, 22
2.691, 33.3, 21

---

Structure and computed powder diffractogram of BaMg3 (DFT lattice parameters and positions (PBE); Cu Kα).
Neutral-atom scattering factors, no anomalous dispersion.

Structural model:
Cell lengths 5.5262, 5.5262, 7.8622 Å; angles 90.00, 90.00, 90.00 degrees
Space group I4/mmm (No. 139)
Asymmetric unit:
Ba  0.0000  0.0000  0.0000 [2 per cell]
Mg  0.0000  0.0000  0.5000 [2 per cell]
Mg  0.0000  0.5000  0.2500 [4 per cell]

Most intense lines, 10 to 80 degrees two-theta, by angle:
d_spacing, 2θ/deg, intensity
4.521, 19.6, 58
3.908, 22.8, 21
2.769, 32.3, 100
2.358, 38.2, 22
1.602, 57.5, 12
1.597, 57.7, 25